The following is a theoretical powder diffractogram of NaNp2VO8. It was derived from the GGA+U geometry in Alexandria, using Cu Kα X-rays.

Largest 10 diffraction maxima, low angle first, 2θ = 10–90°:
(hkl)	Position (°2θ)	d [Å]	I/Imax
1 1 0	18.53	4.787	100.0
0 0 2	25.70	3.467	22.0
0 2 0	25.93	3.437	46.4
2 0 0	26.72	3.336	41.4
1 1 2	31.87	2.808	87.0
0 2 2	36.83	2.441	30.0
2 2 0	37.58	2.394	21.5
2 2 2	46.08	1.970	19.3
1 3 2	49.61	1.837	34.4
3 1 2	50.54	1.806	30.4

Cell and atoms:
a = 6.672 Å, b = 6.873 Å, c = 6.933 Å
α = 90.00°, β = 90.00°, γ = 90.00°
Space group Cmmm (No. 65)
Unique sites:
1 Na 0.000 0.000 0.000
2 Np 0.000 0.500 0.251
3 V 0.000 0.000 0.500
4 O 0.000 0.296 0.500
5 O 0.000 0.323 0.000
6 O 0.209 0.000 0.276